Starting from DFT lattice parameters and positions (PBE), the powder diffractogram of Dy2TeO6 was simulated for Cu Kα, 1.54184 Å.
Intensities are scaled so that the largest is 100.

Structural model:
a = 5.321 Å, b = 9.133 Å, c = 10.022 Å
α = 90.00°, β = 90.00°, γ = 90.00°
Space group P2_12_12_1 (No. 19)
Symmetry-distinct sites (fractional):
Dy1 0.026 0.103 0.461 (multiplicity 4)
Dy2 0.035 0.218 0.865 (multiplicity 4)
Te1 0.041 0.495 0.354 (multiplicity 4)
O1 0.080 0.845 0.025 (multiplicity 4)
O2 0.176 0.950 0.295 (multiplicity 4)
O3 0.182 0.642 0.821 (multiplicity 4)
O4 0.186 0.641 0.237 (multiplicity 4)
O5 0.226 0.115 0.064 (multiplicity 4)
O6 0.248 0.413 0.994 (multiplicity 4)

Principal peaks in the range 10 to 90 degrees two-theta, sorted by position:
index, 2θ/deg, I (rel.)
1 2 0, 25.71, 49
1 1 2, 26.31, 92
1 2 1, 27.23, 100
0 1 3, 28.45, 32
0 3 1, 30.69, 34
1 1 3, 33.15, 59
2 0 0, 33.69, 36
0 3 2, 34.47, 25
2 3 1, 46.21, 31
1 5 1, 53.85, 31



Starting from DFT lattice parameters and positions (PBE), the powder diffractogram of Dy2TeO2 was simulated for Cu Kα, 1.54184 Å.
Intensities are scaled so that the largest is 100.

Structural model:
a = 3.934 Å, b = 3.934 Å, c = 12.524 Å
α = 90.00°, β = 90.00°, γ = 90.00°
Space group I4/mmm (No. 139)
Symmetry-distinct sites (fractional):
Dy1 0.000 0.000 0.163 (multiplicity 4)
Te1 0.000 0.000 0.500 (multiplicity 2)
O1 0.000 0.500 0.250 (multiplicity 4)

Principal peaks in the range 10 to 90 degrees two-theta, sorted by position:
index, 2θ/deg, I (rel.)
1 0 3, 31.24, 100
1 1 0, 32.18, 40
0 0 6, 43.35, 9
2 0 0, 46.15, 20
1 1 6, 55.00, 23
2 1 3, 56.78, 37
2 0 6, 65.16, 11
1 0 9, 71.98, 9
3 0 3, 76.07, 8
2 1 9, 89.87, 10



Starting from DFT lattice parameters and positions (PBE), the powder diffractogram of Dy2TeO6 was simulated for Cu Kα, 1.54184 Å.
Intensities are scaled so that the largest is 100.

Structural model:
a = 4.999 Å, b = 4.999 Å, c = 10.104 Å
α = 90.00°, β = 90.00°, γ = 90.00°
Space group P4_2/mnm (No. 136)
Symmetry-distinct sites (fractional):
Dy1 0.000 0.000 0.165 (multiplicity 4)
Te1 0.000 0.000 0.500 (multiplicity 2)
O1 0.183 0.183 0.354 (multiplicity 8)
O2 0.222 0.222 0.000 (multiplicity 4)

Principal peaks in the range 10 to 90 degrees two-theta, sorted by position:
index, 2θ/deg, I (rel.)
1 1 0, 25.19, 100
1 0 3, 32.04, 88
2 0 0, 35.93, 26
2 1 3, 48.90, 68
2 2 0, 51.72, 16
3 1 0, 58.37, 17
1 1 6, 60.94, 17
3 0 3, 62.15, 20
3 2 3, 73.92, 15
4 1 3, 85.03, 13



Starting from DFT lattice parameters and positions (PBE), the powder diffractogram of Dy2TeO6 was simulated for Cu Kα, 1.54184 Å.
Intensities are scaled so that the largest is 100.

Structural model:
a = 9.1821 Å, b = 9.1821 Å, c = 5.2164 Å
α = 90.00°, β = 90.00°, γ = 120.00°
Space group P321 (No. 150)
Symmetry-distinct sites (fractional):
Dy1 0.0000 0.2833 0.0000 (multiplicity 3)
Dy2 0.0000 0.6209 0.5000 (multiplicity 3)
Te1 0.0000 0.0000 0.5000 (multiplicity 1)
Te2 0.3333 0.6667 0.0040 (multiplicity 2)
O1 0.0793 0.8791 0.2894 (multiplicity 6)
O2 0.1332 0.5430 0.2176 (multiplicity 6)
O3 0.2233 0.7591 0.7902 (multiplicity 6)

Principal peaks in the range 10 to 90 degrees two-theta, sorted by position:
index, 2θ/deg, I (rel.)
1 1 1, 25.85, 100
0 2 1, 28.22, 41
2 1 0, 29.72, 16
3 0 0, 33.82, 37
0 0 2, 34.41, 31
2 2 1, 43.05, 13
1 2 2, 46.08, 13
0 3 2, 49.00, 45
2 3 1, 53.19, 24
1 1 3, 56.60, 11



Starting from DFT lattice parameters and positions (PBE), the powder diffractogram of Dy2Te4O11 was simulated for Cu Kα, 1.54184 Å.
Intensities are scaled so that the largest is 100.

Structural model:
a = 5.176 Å, b = 6.763 Å, c = 16.067 Å
α = 80.00°, β = 80.73°, γ = 67.50°
Space group P1 (No. 1)
Symmetry-distinct sites (fractional):
Dy1 0.000 0.000 0.000 (multiplicity 1)
Dy2 0.222 0.090 0.433 (multiplicity 1)
Dy3 0.481 0.503 0.500 (multiplicity 1)
Dy4 0.737 0.586 0.933 (multiplicity 1)
Te1 0.194 0.411 0.087 (multiplicity 1)
Te2 0.216 0.750 0.768 (multiplicity 1)
Te3 0.509 0.848 0.161 (multiplicity 1)
Te4 0.514 0.168 0.842 (multiplicity 1)
Te5 0.751 0.258 0.270 (multiplicity 1)
Te6 0.767 0.904 0.593 (multiplicity 1)
Te7 0.961 0.665 0.341 (multiplicity 1)
Te8 0.963 0.337 0.660 (multiplicity 1)
O1 0.018 0.328 0.017 (multiplicity 1)
O2 0.045 0.928 0.333 (multiplicity 1)
O3 0.120 0.822 0.520 (multiplicity 1)
O4 0.155 0.933 0.132 (multiplicity 1)
O5 0.165 0.423 0.838 (multiplicity 1)
O6 0.195 0.468 0.424 (multiplicity 1)
O7 0.211 0.042 0.719 (multiplicity 1)
O8 0.282 0.425 0.629 (multiplicity 1)
O9 0.310 0.601 0.011 (multiplicity 1)
O10 0.411 0.960 0.924 (multiplicity 1)
O11 0.455 0.155 0.298 (multiplicity 1)
O12 0.497 0.555 0.217 (multiplicity 1)
O13 0.537 0.102 0.511 (multiplicity 1)
O14 0.558 0.146 0.094 (multiplicity 1)
O15 0.570 0.664 0.796 (multiplicity 1)
O16 0.608 0.760 0.414 (multiplicity 1)
O17 0.681 0.648 0.590 (multiplicity 1)
O18 0.687 0.251 0.914 (multiplicity 1)
O19 0.757 0.733 0.064 (multiplicity 1)
O20 0.798 0.331 0.373 (multiplicity 1)
O21 0.918 0.252 0.561 (multiplicity 1)
O22 0.971 0.830 0.868 (multiplicity 1)

Principal peaks in the range 10 to 90 degrees two-theta, sorted by position:
index, 2θ/deg, I (rel.)
1 0 -3, 26.58, 99
1 2 -1, 29.69, 100
0 1 -5, 33.47, 20
2 1 1, 34.66, 18
0 1 7, 40.99, 14
-2 1 1, 46.24, 22
-1 2 5, 48.82, 17
2 2 -4, 48.95, 18
1 1 -8, 53.96, 13
1 -3 0, 54.46, 15



Starting from DFT lattice parameters and positions (PBE), the powder diffractogram of Dy2TiO5 was simulated for Cu Kα, 1.54184 Å.
Intensities are scaled so that the largest is 100.

Structural model:
a = 4.084 Å, b = 11.100 Å, c = 10.528 Å
α = 90.00°, β = 90.00°, γ = 90.00°
Space group Cmcm (No. 63)
Symmetry-distinct sites (fractional):
Dy1 0.000 0.143 0.070 (multiplicity 8)
Ti1 0.000 0.170 0.750 (multiplicity 4)
O1 0.000 0.051 0.624 (multiplicity 8)
O2 0.000 0.277 0.250 (multiplicity 4)
O3 0.000 0.289 0.592 (multiplicity 8)

Principal peaks in the range 10 to 90 degrees two-theta, sorted by position:
index, 2θ/deg, I (rel.)
0 2 0, 15.97, 27
0 0 2, 16.84, 37
1 1 0, 23.21, 95
0 2 3, 30.13, 100
1 3 0, 32.66, 54
1 1 3, 34.66, 59
2 0 0, 44.36, 28
1 5 3, 53.77, 47
2 2 3, 54.56, 37
1 7 0, 62.88, 28